Record 1
The following is a calculated PXRD pattern of Ca2ZnP2H4O10. It was derived from DFT lattice parameters and positions (PBE), using Cu Kα.

Structural model:
```
data_Ca2ZnP2H4O10
_space_group_name_H-M_alt 'P -1'
_space_group_IT_number 2
_space_group_name_Hall '-P 1'
_cell_length_a 5.557
_cell_length_b 5.790
_cell_length_c 6.860
_cell_angle_alpha 107.52
_cell_angle_beta 97.17
_cell_angle_gamma 109.14
loop_
_atom_site_label
_atom_site_fract_x
_atom_site_fract_y
_atom_site_fract_z
Ca1 0.149 0.297 0.264
Zn1 0.500 0.000 0.500
P1 0.168 0.342 0.745
H1 0.351 0.872 0.102
H2 0.419 0.830 0.813
O1 0.087 0.741 0.432
O2 0.135 0.168 0.878
O3 0.222 0.633 0.882
O4 0.398 0.345 0.633
O5 0.427 0.048 0.222
```

The 12 most intense peaks (10° ≤ 2θ ≤ 90°), most intense first:
hkl 1 1 0, 3.055 Å, 2θ = 29.2°, I 1000
hkl 1 -2 0, 2.742 Å, 2θ = 32.7°, I 827
hkl 2 -1 0, 2.736 Å, 2θ = 32.7°, I 455
hkl 0 0 1, 6.337 Å, 2θ = 14.0°, I 438
hkl -1 1 1, 3.553 Å, 2θ = 25.1°, I 339
hkl 0 1 -2, 3.280 Å, 2θ = 27.2°, I 324
hkl 3 0 0, 1.696 Å, 2θ = 54.1°, I 273
hkl 0 1 -3, 2.265 Å, 2θ = 39.8°, I 224
hkl 1 1 -1, 3.263 Å, 2θ = 27.3°, I 212
hkl -1 2 1, 2.307 Å, 2θ = 39.1°, I 182
hkl 2 0 2, 1.779 Å, 2θ = 51.4°, I 179
hkl 2 1 -1, 2.111 Å, 2θ = 42.8°, I 157


Record 2
The following is a calculated PXRD pattern of CaH6S4O16. It was derived from DFT lattice parameters and positions (PBE), using Cu Kα.

Structural model:
```
data_CaH6S4O16
_space_group_name_H-M_alt 'P -1'
_space_group_IT_number 2
_space_group_name_Hall '-P 1'
_cell_length_a 5.541
_cell_length_b 7.828
_cell_length_c 8.858
_cell_angle_alpha 88.45
_cell_angle_beta 76.25
_cell_angle_gamma 80.02
loop_
_atom_site_label
_atom_site_fract_x
_atom_site_fract_y
_atom_site_fract_z
Ca1 0.000 0.000 0.000
H1 0.279 0.032 0.382
H2 0.289 0.474 0.673
H3 0.313 0.523 0.202
S1 0.057 0.337 0.265
S2 0.467 0.817 0.229
O1 0.049 0.761 0.831
O2 0.156 0.543 0.621
O3 0.207 0.457 0.152
O4 0.214 0.241 0.359
O5 0.289 0.126 0.814
O6 0.315 0.864 0.116
O7 0.319 0.902 0.390
O8 0.492 0.628 0.261
```

The 12 most intense peaks (10° ≤ 2θ ≤ 90°), most intense first:
hkl 1 1 -1, 3.851 Å, 2θ = 23.1°, I 1000
hkl 1 -1 1, 3.968 Å, 2θ = 22.4°, I 889
hkl 0 0 2, 4.302 Å, 2θ = 20.6°, I 628
hkl 0 2 1, 3.498 Å, 2θ = 25.5°, I 419
hkl 1 1 1, 4.585 Å, 2θ = 19.4°, I 399
hkl 1 1 2, 3.576 Å, 2θ = 24.9°, I 350
hkl -1 1 1, 3.427 Å, 2θ = 26.0°, I 291
hkl 0 2 -1, 3.537 Å, 2θ = 25.2°, I 238
hkl 0 1 2, 3.733 Å, 2θ = 23.8°, I 232
hkl 1 -1 2, 3.275 Å, 2θ = 27.2°, I 224
hkl -1 1 3, 2.158 Å, 2θ = 41.9°, I 200
hkl 1 0 -1, 4.101 Å, 2θ = 21.7°, I 199


Record 3
The following is a calculated PXRD pattern of CaSb4H6S2O16. It was derived from DFT lattice parameters and positions (PBE), using Cu Kα.

Structural model:
```
data_CaSb4H6S2O16
_space_group_name_H-M_alt 'C 1 2/c 1'
_space_group_IT_number 15
_space_group_name_Hall '-C 2yc'
_cell_length_a 25.109
_cell_length_b 5.723
_cell_length_c 10.269
_cell_angle_alpha 90.00
_cell_angle_beta 94.20
_cell_angle_gamma 90.00
loop_
_atom_site_label
_atom_site_fract_x
_atom_site_fract_y
_atom_site_fract_z
Ca1 0.000 0.202 0.250
Sb1 0.182 0.065 0.242
Sb2 0.210 0.495 0.996
H1 0.055 0.401 0.613
H2 0.056 0.339 0.765
H3 0.121 0.434 0.221
S1 0.078 0.025 0.473
O1 0.048 0.115 0.870
O2 0.057 0.269 0.460
O3 0.058 0.471 0.702
O4 0.072 0.069 0.106
O5 0.137 0.022 0.452
O6 0.160 0.402 0.232
O7 0.237 0.181 0.384
O8 0.237 0.184 0.110
```

The 12 most intense peaks (10° ≤ 2θ ≤ 90°), most intense first:
hkl 5 1 -2, 3.118 Å, 2θ = 28.6°, I 1000
hkl 5 1 2, 2.959 Å, 2θ = 30.2°, I 739
hkl 3 1 2, 3.401 Å, 2θ = 26.2°, I 717
hkl 8 0 0, 3.128 Å, 2θ = 28.5°, I 540
hkl 3 1 -2, 3.544 Å, 2θ = 25.1°, I 393
hkl 8 2 0, 2.114 Å, 2θ = 42.8°, I 374
hkl 0 2 0, 2.861 Å, 2θ = 31.3°, I 325
hkl 6 0 -2, 3.358 Å, 2θ = 26.5°, I 307
hkl 0 0 4, 2.560 Å, 2θ = 35.0°, I 302
hkl 2 0 -4, 2.544 Å, 2θ = 35.3°, I 292
hkl 2 2 -4, 1.902 Å, 2θ = 47.8°, I 268
hkl 1 1 0, 5.579 Å, 2θ = 15.9°, I 267


Record 4
The following is a calculated PXRD pattern of CaScSi3HO9. It was derived from DFT lattice parameters and positions (PBE), using Cu Kα.

Structural model:
```
data_CaScSi3HO9
_space_group_name_H-M_alt 'P -1'
_space_group_IT_number 2
_space_group_name_Hall '-P 1'
_cell_length_a 6.857
_cell_length_b 7.139
_cell_length_c 7.591
_cell_angle_alpha 104.42
_cell_angle_beta 93.48
_cell_angle_gamma 91.99
loop_
_atom_site_label
_atom_site_fract_x
_atom_site_fract_y
_atom_site_fract_z
Ca1 0.157 0.085 0.331
Sc1 0.148 0.593 0.357
Si1 0.134 0.261 0.954
Si2 0.325 0.911 0.740
Si3 0.357 0.477 0.721
H1 0.470 0.838 0.308
O1 0.062 0.759 0.183
O2 0.106 0.326 0.172
O3 0.165 0.873 0.563
O4 0.172 0.421 0.562
O5 0.219 0.039 0.917
O6 0.296 0.407 0.901
O7 0.399 0.713 0.783
O8 0.446 0.630 0.349
O9 0.472 0.976 0.292
```

The 12 most intense peaks (10° ≤ 2θ ≤ 90°), most intense first:
hkl 0 2 -2, 2.905 Å, 2θ = 30.8°, I 1000
hkl 0 2 1, 2.858 Å, 2θ = 31.3°, I 983
hkl 1 0 2, 3.137 Å, 2θ = 28.5°, I 868
hkl 2 0 -1, 3.186 Å, 2θ = 28.0°, I 830
hkl 2 0 1, 3.016 Å, 2θ = 29.6°, I 740
hkl 0 0 2, 3.666 Å, 2θ = 24.3°, I 513
hkl 0 4 -1, 1.783 Å, 2θ = 51.2°, I 395
hkl 1 0 0, 6.835 Å, 2θ = 13.0°, I 378
hkl -1 1 1, 3.896 Å, 2θ = 22.8°, I 315
hkl 3 0 -1, 2.221 Å, 2θ = 40.6°, I 313
hkl 2 -2 1, 2.460 Å, 2θ = 36.5°, I 284
hkl 0 0 1, 7.332 Å, 2θ = 12.1°, I 276


Record 5
The following is a calculated PXRD pattern of Ca6Si3H2O13. It was derived from DFT lattice parameters and positions (PBE), using Cu Kα.

Structural model:
```
data_Ca6Si3H2O13
_space_group_name_H-M_alt 'P -1'
_space_group_IT_number 2
_space_group_name_Hall '-P 1'
_cell_length_a 6.895
_cell_length_b 7.006
_cell_length_c 12.979
_cell_angle_alpha 90.88
_cell_angle_beta 97.68
_cell_angle_gamma 98.12
loop_
_atom_site_label
_atom_site_fract_x
_atom_site_fract_y
_atom_site_fract_z
Ca1 0.062 0.033 0.322
Ca2 0.093 0.477 0.704
Ca3 0.186 0.811 0.125
Ca4 0.309 0.799 0.514
Ca5 0.394 0.476 0.291
Ca6 0.420 0.802 0.900
Si1 0.115 0.290 0.098
Si2 0.215 0.301 0.509
Si3 0.310 0.283 0.884
H1 0.306 0.972 0.728
H2 0.436 0.884 0.326
O1 0.021 0.219 0.566
O2 0.109 0.804 0.948
O3 0.115 0.185 0.805
O4 0.120 0.491 0.165
O5 0.143 0.367 0.390
O6 0.242 0.153 0.177
O7 0.251 0.335 0.001
O8 0.263 0.840 0.700
O9 0.311 0.796 0.316
O10 0.332 0.488 0.582
O11 0.348 0.130 0.490
O12 0.385 0.488 0.831
O13 0.484 0.146 0.908
```

The 12 most intense peaks (10° ≤ 2θ ≤ 90°), most intense first:
hkl 2 0 -3, 2.851 Å, 2θ = 31.4°, I 1000
hkl 0 0 5, 2.571 Å, 2θ = 34.9°, I 780
hkl 0 2 -2, 3.096 Å, 2θ = 28.8°, I 690
hkl 2 0 2, 2.836 Å, 2θ = 31.5°, I 544
hkl 0 2 3, 2.649 Å, 2θ = 33.8°, I 487
hkl 0 2 2, 3.007 Å, 2θ = 29.7°, I 480
hkl 2 1 -1, 2.888 Å, 2θ = 31.0°, I 413
hkl 2 -1 2, 2.760 Å, 2θ = 32.4°, I 379
hkl 0 3 0, 2.310 Å, 2θ = 39.0°, I 345
hkl 1 2 0, 2.918 Å, 2θ = 30.6°, I 334
hkl 2 1 4, 2.017 Å, 2θ = 44.9°, I 329
hkl -2 2 6, 1.726 Å, 2θ = 53.1°, I 314